(1)
# Nd2TlC2N6
Computed powder XRD pattern, copper Kα. Input: a DFT-relaxed cell (GGA-PBE, Alexandria).
Peak positions follow from Bragg's law for the DFT cell and can differ from measured ones.

Main lines, by intensity (2θ = 10–90°):
| d [Å] | Position (°2θ) | intensity | (hkl) |
| --- | --- | --- | --- |
| 3.396 | 26.24 | 100.0 | 1 1 -1 |
| 4.207 | 21.12 | 94.1 | 1 -1 0 |
| 3.014 | 29.64 | 87.7 | 0 1 1 |
| 2.597 | 34.54 | 73.5 | 2 0 -1 |
| 3.089 | 28.90 | 65.6 | 0 1 -2 |
| 2.896 | 30.88 | 51.4 | 1 0 -2 |
| 3.150 | 28.34 | 49.1 | 1 0 1 |
| 1.909 | 47.62 | 41.6 | -2 2 1 |
| 4.879 | 18.18 | 39.1 | 1 0 0 |
| 2.550 | 35.19 | 34.6 | 2 -1 0 |

Atomic structure:
Lattice parameters (Å, degrees): 5.3359 5.5142 6.4253 112.36 103.85 102.38
Space group P-1 (No. 2)
Inequivalent atoms, fractional coordinates:
Nd1 0.2241 0.0983 0.3338 (multiplicity 2)
Tl1 0.5000 0.5000 0.0000 (multiplicity 1)
C1 0.2629 0.7715 0.7559 (multiplicity 2)
N1 0.1352 0.7901 0.9146 (multiplicity 2)
N2 0.2663 0.9353 0.6411 (multiplicity 2)
N3 0.3999 0.5808 0.6998 (multiplicity 2)


(2)
# Sm4Sn6O19
Computed powder XRD pattern, copper Kα. Input: a DFT-relaxed cell (GGA-PBE, Alexandria).
Peak positions follow from Bragg's law for the DFT cell and can differ from measured ones.

Main lines, by intensity (2θ = 10–90°):
| d [Å] | Position (°2θ) | intensity | (hkl) |
| --- | --- | --- | --- |
| 2.981 | 29.98 | 100.0 | 3 0 1 |
| 3.848 | 23.11 | 72.5 | 2 1 1 |
| 2.519 | 35.64 | 55.9 | 3 1 2 |
| 1.849 | 49.29 | 50.5 | 4 3 1 |
| 1.571 | 58.77 | 28.1 | 6 0 0 |
| 1.721 | 53.22 | 28.1 | 5 2 1 |
| 2.721 | 32.91 | 27.7 | 2 2 2 |
| 1.924 | 47.24 | 20.1 | 4 2 2 |
| 1.096 | 89.42 | 18.4 | 7 4 3 |
| 1.390 | 67.38 | 17.8 | 6 1 3 |

Atomic structure:
Lattice parameters (Å, degrees): 9.4265 9.4265 9.4265 90.00 90.00 90.00
Space group I23 (No. 197)
Inequivalent atoms, fractional coordinates:
Sm1 0.1464 0.1464 0.1464 (multiplicity 8)
Sn1 0.0000 0.1663 0.5000 (multiplicity 12)
O1 0.0000 0.0000 0.0000 (multiplicity 2)
O2 0.0000 0.0000 0.3467 (multiplicity 12)
O3 0.0426 0.2851 0.3212 (multiplicity 24)


(3)
# Ti6NbTc5
Computed powder XRD pattern, copper Kα. Input: a DFT-relaxed cell (GGA-PBE, Alexandria).
Peak positions follow from Bragg's law for the DFT cell and can differ from measured ones.

Main lines, by intensity (2θ = 10–90°):
| d [Å] | Position (°2θ) | intensity | (hkl) |
| --- | --- | --- | --- |
| 2.217 | 40.70 | 100.0 | 2 0 0 |
| 2.203 | 40.97 | 19.5 | 0 6 0 |
| 3.123 | 28.59 | 13.3 | 1 3 0 |
| 1.561 | 59.18 | 12.5 | 2 6 0 |
| 1.279 | 74.16 | 12.5 | 3 3 2 |
| 1.275 | 74.43 | 12.1 | 1 9 2 |
| 1.109 | 88.09 | 7.9 | 2 6 4 |
| 3.150 | 28.33 | 6.9 | 0 0 2 |
| 1.575 | 58.61 | 6.4 | 0 0 4 |
| 1.283 | 73.84 | 6.3 | 2 0 4 |

Atomic structure:
Lattice parameters (Å, degrees): 4.4265 13.2166 6.3004 90.00 90.00 90.00
Space group Cmmm (No. 65)
Inequivalent atoms, fractional coordinates:
Ti1 0.0000 0.0000 0.2389 (multiplicity 4)
Ti2 0.0000 0.3290 0.2440 (multiplicity 8)
Nb1 0.0000 0.5000 0.5000 (multiplicity 2)
Tc1 0.0000 0.1632 0.5000 (multiplicity 4)
Tc2 0.0000 0.1673 0.0000 (multiplicity 4)
Tc3 0.0000 0.5000 0.0000 (multiplicity 2)


(4)
# CsCuAsBr6
Computed powder XRD pattern, copper Kα. Input: a DFT-relaxed cell (GGA-PBE, Alexandria).
Peak positions follow from Bragg's law for the DFT cell and can differ from measured ones.

Main lines, by intensity (2θ = 10–90°):
| d [Å] | Position (°2θ) | intensity | (hkl) |
| --- | --- | --- | --- |
| 2.885 | 31.00 | 100.0 | 1 3 1 |
| 3.251 | 27.44 | 86.6 | 2 2 -1 |
| 2.713 | 33.01 | 84.5 | 3 1 -1 |
| 2.949 | 30.31 | 80.9 | 0 2 2 |
| 3.419 | 26.07 | 78.3 | 1 1 -2 |
| 3.151 | 28.33 | 55.6 | 2 0 1 |
| 3.335 | 26.73 | 49.8 | 1 3 0 |
| 4.315 | 20.58 | 47.8 | 0 2 1 |
| 5.417 | 16.36 | 41.3 | 1 1 -1 |
| 1.806 | 50.54 | 39.1 | 3 3 -3 |

Atomic structure:
Lattice parameters (Å, degrees): 8.4584 10.9733 7.2841 90.00 106.22 90.00
Space group C2 (No. 5)
Inequivalent atoms, fractional coordinates:
Cs1 0.0000 0.0000 0.0000 (multiplicity 2)
Cu1 0.0000 0.8060 0.5000 (multiplicity 2)
As1 0.0000 0.4428 0.5000 (multiplicity 2)
Br1 0.1031 0.6664 0.7566 (multiplicity 4)
Br2 0.1203 0.3025 0.7613 (multiplicity 4)
Br3 0.2095 0.9653 0.5877 (multiplicity 4)


(5)
# W5Se8
Computed powder XRD pattern, copper Kα. Input: a DFT-relaxed cell (GGA-PBE, Alexandria).
Peak positions follow from Bragg's law for the DFT cell and can differ from measured ones.

Main lines, by intensity (2θ = 10–90°):
| d [Å] | Position (°2θ) | intensity | (hkl) |
| --- | --- | --- | --- |
| 6.348 | 13.95 | 100.0 | 0 0 1 |
| 2.749 | 32.57 | 89.9 | 2 2 0 |
| 2.185 | 41.31 | 82.5 | 2 2 -3 |
| 2.204 | 40.94 | 64.8 | 2 2 1 |
| 5.459 | 16.24 | 55.2 | 1 1 -1 |
| 1.728 | 53.00 | 45.0 | 6 2 -3 |
| 2.672 | 33.54 | 34.1 | 4 0 -3 |
| 2.211 | 40.82 | 29.2 | 5 1 -3 |
| 3.037 | 29.41 | 26.8 | 2 2 -1 |
| 2.149 | 42.04 | 24.4 | 4 0 -4 |

Atomic structure:
Lattice parameters (Å, degrees): 11.8805 7.0669 8.6165 90.00 132.55 90.00
Space group C2/m (No. 12)
Inequivalent atoms, fractional coordinates:
W1 0.0000 0.0000 0.0000 (multiplicity 2)
W2 0.0000 0.2887 0.5000 (multiplicity 4)
W3 0.2135 0.5000 0.5027 (multiplicity 4)
Se1 0.0441 0.2413 0.2505 (multiplicity 8)
Se2 0.1910 0.0000 0.6991 (multiplicity 4)
Se3 0.2142 0.5000 0.8027 (multiplicity 4)


- What is the formula in the second record?
  Sm4Sn6O19